No. 1
Computed X-ray powder pattern
Compound: Zn4AgPt3
Radiation: Cu Kα, 1.54184 Å
Structure: a DFT-relaxed cell (PBE, Alexandria)

Peak list (10 most intense, 2θ from 10° to 80°, by intensity)
42.00 deg, intensity 1000
39.70 deg, intensity 295
39.47 deg, intensity 293
27.71 deg, intensity 255
57.23 deg, intensity 196
73.63 deg, intensity 186
73.32 deg, intensity 180
30.93 deg, intensity 97
78.44 deg, intensity 79
78.29 deg, intensity 77

```
8
Lattice="2.8909 0.0000 0.0000 0.0000 4.5404 0.0000 0.0000 0.0000 9.1316" Properties=species:S:1:pos:R:3 pbc="T T T"
Zn 0.0000 0.0000 0.0000
Zn 0.0000 0.0000 4.5658
Zn 0.0000 2.2702 2.1936
Zn 0.0000 2.2702 6.9380
Ag 1.4454 2.2702 4.5658
Pt 1.4454 0.0000 2.3490
Pt 1.4454 0.0000 6.7826
Pt 1.4454 2.2702 0.0000
```

No. 2
Computed X-ray powder pattern
Compound: Ac2HoMg3Cd12
Radiation: Cu Kα, 1.54184 Å
Structure: a DFT-relaxed cell (PBE, Alexandria)

Peak list (10 most intense, 2θ from 10° to 80°, by intensity)
33.16 deg, intensity 1000
36.31 deg, intensity 566
49.99 deg, intensity 196
22.58 deg, intensity 189
61.31 deg, intensity 184
38.11 deg, intensity 177
24.64 deg, intensity 174
18.26 deg, intensity 172
59.24 deg, intensity 150
34.16 deg, intensity 135

```
18
Lattice="5.4034 3.1196 4.8574 -5.4034 3.1196 4.8574 0.0000 -6.2393 4.8574" Properties=species:S:1:pos:R:3 pbc="T T T"
Ac 0.0000 0.0000 3.0390
Ac 0.0000 0.0000 11.5332
Ho 0.0000 0.0000 7.2861
Mg -2.7017 -1.5598 4.8574
Mg -2.7017 1.5598 9.7148
Mg 0.0000 3.1196 4.8574
Cd 0.0000 -3.4465 3.8852
Cd -2.9848 1.7233 3.8852
Cd -2.6198 -1.5125 7.8785
Cd 0.0000 -3.0250 6.6938
Cd -2.6198 1.5125 6.6938
Cd -2.9848 -1.7233 10.6871
Cd 2.9848 1.7233 3.8852
Cd 2.6198 -1.5125 7.8785
Cd 0.0000 3.0250 7.8785
Cd 2.6198 1.5125 6.6938
Cd 2.9848 -1.7233 10.6871
Cd 0.0000 3.4465 10.6871
```

No. 3
Computed X-ray powder pattern
Compound: Pr8Si4Br3
Radiation: Cu Kα, 1.54184 Å
Structure: a DFT-relaxed cell (PBE, Alexandria)

Peak list (10 most intense, 2θ from 10° to 80°, by intensity)
29.45 deg, intensity 1000
42.04 deg, intensity 927
25.39 deg, intensity 754
29.31 deg, intensity 503
52.09 deg, intensity 199
52.22 deg, intensity 186
42.22 deg, intensity 178
49.68 deg, intensity 178
68.98 deg, intensity 158
69.12 deg, intensity 122

```
15
Lattice="6.0578 -6.0945 0.0000 6.0578 6.0945 0.0000 -6.0355 0.0000 6.0732" Properties=species:S:1:pos:R:3 pbc="T T T"
Pr 6.0578 3.1833 0.0000
Pr 0.0228 0.0000 2.9653
Pr 2.8904 0.0000 0.1148
Pr 3.0400 2.9587 3.0366
Pr 3.0400 -2.9587 3.0366
Pr 3.1896 0.0000 5.9584
Pr 6.0572 0.0000 3.1079
Pr 6.0578 -3.1833 0.0000
Si 0.0000 0.0000 0.0000
Si 0.0111 3.0472 3.0366
Si 0.0111 -3.0472 3.0366
Si 3.0400 0.0000 3.0366
Br 3.0289 3.0472 0.0000
Br 3.0289 -3.0472 0.0000
Br 6.0578 0.0000 0.0000
```